Theoretical powder XRD pattern
Compound: BaHg2Se
Radiation: copper Kα
Structure: a crystal structure in Alexandria, relaxed with PBE

Peak list (12 most intense, 2θ = 10–90°, by angle)
(2 0 0), 14.10 deg, intensity 22; (4 0 0), 28.43 deg, intensity 57; (1 1 1), 29.27 deg, intensity 100; (3 1 -1), 33.13 deg, intensity 67; (0 2 0), 38.13 deg, intensity 25; (2 0 -2), 41.11 deg, intensity 19; (2 0 2), 45.35 deg, intensity 15; (4 2 0), 48.23 deg, intensity 45; (7 1 -1), 55.84 deg, intensity 11; (2 2 -2), 57.31 deg, intensity 15; (2 2 2), 60.70 deg, intensity 13; (3 3 -1), 65.74 deg, intensity 15

Cell and atoms:
```
data_BaHg2Se
_chemical_formula_sum 'Ba2 Hg4 Se2'
_space_group_name_H-M_alt 'P 1'
_space_group_IT_number 1
_space_group_name_Hall 'P 1'
_cell_length_a 12.703
_cell_length_b 4.720
_cell_length_c 4.485
_cell_angle_alpha 90.00
_cell_angle_beta 98.54
_cell_angle_gamma 90.00
loop_
_atom_site_label
_atom_site_type_symbol
_atom_site_fract_x
_atom_site_fract_y
_atom_site_fract_z
Ba1 Ba 0.000 0.000 0.000
Ba2 Ba 0.500 0.500 0.000
Hg1 Hg 0.234 0.500 0.256
Hg2 Hg 0.266 0.000 0.744
Hg3 Hg 0.734 0.000 0.256
Hg4 Hg 0.766 0.500 0.744
Se1 Se 0.000 0.500 0.500
Se2 Se 0.500 0.000 0.500
```